Calculated X-ray powder pattern
Compound: TbPmHo4Tm2
Radiation: CuKα
Structure: a cell relaxed with GGA-PBE
Kinematic intensities with the Lorentz-polarization factor, no thermal factor.

Main lines, low angle first (5 to 70 degrees two-theta):
- 2θ 26.95, I = 46, (0 4 0)
- 2θ 30.57, I = 100, (4 0 0)
- 2θ 41.20, I = 89, (4 4 0)
- 2θ 54.33, I = 20, (4 0 2)
- 2θ 55.56, I = 6, (0 8 0)
- 2θ 61.68, I = 27, (4 4 2)
- 2θ 63.65, I = 8, (0 0 4)
- 2θ 64.75, I = 23, (4 8 0)

Crystal structure
```
data_TbPmHo4Tm2
_chemical_formula_sum 'Tb4 Pm4 Ho16 Tm8'
_cell_length_a 13.511
_cell_length_b 13.232
_cell_length_c 6.750
_cell_angle_alpha 90.00
_cell_angle_beta 119.97
_cell_angle_gamma 90.00
_space_group_name_H-M_alt 'C 1 2/c 1'
_space_group_IT_number 15
loop_
_space_group_symop_operation_xyz
'x,y,z'
'-x,-y,-z'
'-x,y,-z+1/2'
'x,-y,z+1/2'
'x+1/2,y+1/2,z'
'-x+1/2,-y+1/2,-z'
'-x+1/2,y+1/2,-z+1/2'
'x+1/2,-y+1/2,z+1/2'
loop_
_atom_site_label
_atom_site_type_symbol
_atom_site_fract_x
_atom_site_fract_y
_atom_site_fract_z
_atom_site_occupancy
Tb1 Tb 0.000 0.000 0.000 1
Pm1 Pm 0.250 0.250 0.000 1
Ho1 Ho 0.000 0.252 0.002 1
Ho2 Ho 0.248 0.497 0.497 1
Tm1 Tm 0.000 0.500 0.000 1
Tm2 Tm 0.250 0.250 0.500 1
```